Entry 1:
This entry pairs a crystal structure of Co10Re3 with its calculated XRD peak list. Radiation: Cu Kα (weighted mean of Kα1 and Kα2). Structure: the PBE geometry in OQMD.

Largest 6 diffraction maxima, sorted by position, 15° ≤ 2θ ≤ 90°:
| 2θ/deg | I/Imax |
| --- | --- |
| 23.57 | 79 |
| 39.42 | 97 |
| 45.25 | 60 |
| 46.03 | 100 |
| 51.80 | 55 |
| 52.90 | 58 |

Atomic structure:
```
data_Co10Re3
_cell_length_a 8.741
_cell_length_b 8.741
_cell_length_c 8.741
_cell_angle_alpha 30.32
_cell_angle_beta 30.32
_cell_angle_gamma 30.32
_space_group_name_H-M_alt 'P 1'
_space_group_IT_number 1
_space_group_name_Hall 'P 1'
loop_
_atom_site_label
_atom_site_fract_x
_atom_site_fract_y
_atom_site_fract_z
Co1 0.082 0.590 0.590
Co2 0.157 0.157 0.157
Co3 0.338 0.338 0.338
Co4 0.410 0.410 0.918
Co5 0.410 0.918 0.410
Co6 0.590 0.082 0.590
Co7 0.590 0.590 0.082
Co8 0.662 0.662 0.662
Co9 0.843 0.843 0.843
Co10 0.918 0.410 0.410
Re1 0.048 0.048 0.048
Re2 0.500 0.500 0.500
Re3 0.952 0.952 0.952
```

---

Entry 2:
This entry pairs a crystal structure of Hg3As2F12 with its calculated XRD peak list. Radiation: Cu Kα (weighted mean of Kα1 and Kα2). Structure: the PBE geometry in OQMD.

Largest 6 diffraction maxima, sorted by position, 15° ≤ 2θ ≤ 90°:
| 2θ/deg | I/Imax |
| --- | --- |
| 16.43 | 42 |
| 19.66 | 42 |
| 21.53 | 47 |
| 23.05 | 100 |
| 32.14 | 55 |
| 40.00 | 48 |

Atomic structure:
```
data_Hg3As2F12
_cell_length_a 5.372
_cell_length_b 8.296
_cell_length_c 10.803
_cell_angle_alpha 90.00
_cell_angle_beta 91.49
_cell_angle_gamma 90.00
_space_group_name_H-M_alt 'P 1'
_space_group_IT_number 1
_space_group_name_Hall 'P 1'
loop_
_atom_site_label
_atom_site_fract_x
_atom_site_fract_y
_atom_site_fract_z
Hg1 0.000 0.000 0.000
Hg2 0.000 0.500 0.500
Hg3 0.226 0.243 0.574
Hg4 0.226 0.257 0.074
Hg5 0.774 0.743 0.926
Hg6 0.774 0.757 0.426
As1 0.319 0.657 0.174
As2 0.319 0.843 0.674
As3 0.681 0.157 0.326
As4 0.681 0.343 0.826
F1 0.039 0.551 0.143
F2 0.039 0.949 0.643
F3 0.152 0.674 0.723
F4 0.152 0.826 0.223
F5 0.309 0.729 0.020
F6 0.309 0.771 0.520
F7 0.341 0.581 0.325
F8 0.341 0.919 0.825
F9 0.393 0.242 0.805
F10 0.393 0.258 0.305
F11 0.490 0.014 0.623
F12 0.490 0.486 0.123
F13 0.510 0.514 0.877
F14 0.510 0.986 0.377
F15 0.607 0.742 0.695
F16 0.607 0.758 0.195
F17 0.659 0.081 0.175
F18 0.659 0.419 0.675
F19 0.691 0.229 0.480
F20 0.691 0.271 0.980
F21 0.848 0.174 0.777
F22 0.848 0.326 0.277
F23 0.961 0.051 0.357
F24 0.961 0.449 0.857
```

---

Entry 3:
This entry pairs a crystal structure of LuCuGeTe3 with its calculated XRD peak list. Radiation: Cu Kα (weighted mean of Kα1 and Kα2). Structure: the PBE geometry in OQMD.

Largest 6 diffraction maxima, sorted by position, 15° ≤ 2θ ≤ 90°:
| 2θ/deg | I/Imax |
| --- | --- |
| 27.42 | 66 |
| 28.35 | 55 |
| 29.51 | 70 |
| 32.79 | 100 |
| 41.76 | 53 |
| 42.82 | 41 |

Atomic structure:
```
data_LuCuGeTe3
_cell_length_a 10.985
_cell_length_b 4.224
_cell_length_c 14.171
_cell_angle_alpha 90.00
_cell_angle_beta 90.00
_cell_angle_gamma 90.00
_space_group_name_H-M_alt 'P 1'
_space_group_IT_number 1
_space_group_name_Hall 'P 1'
loop_
_atom_site_label
_atom_site_fract_x
_atom_site_fract_y
_atom_site_fract_z
Lu1 0.029 0.250 0.238
Lu2 0.471 0.750 0.738
Lu3 0.529 0.250 0.262
Lu4 0.971 0.750 0.762
Cu1 0.249 0.750 0.233
Cu2 0.251 0.250 0.733
Cu3 0.749 0.750 0.267
Cu4 0.751 0.250 0.767
Ge1 0.175 0.750 0.484
Ge2 0.325 0.250 0.984
Ge3 0.675 0.750 0.016
Ge4 0.825 0.250 0.516
Te1 0.056 0.250 0.608
Te2 0.089 0.750 0.102
Te3 0.233 0.750 0.845
Te4 0.267 0.250 0.345
Te5 0.411 0.250 0.602
Te6 0.444 0.750 0.108
Te7 0.556 0.250 0.892
Te8 0.589 0.750 0.398
Te9 0.733 0.750 0.655
Te10 0.767 0.250 0.155
Te11 0.911 0.250 0.898
Te12 0.944 0.750 0.392
```

---

Entry 4:
This entry pairs a crystal structure of SmEr2Cu4Sn4 with its calculated XRD peak list. Radiation: Cu Kα (weighted mean of Kα1 and Kα2). Structure: the PBE geometry in OQMD.

Largest 6 diffraction maxima, sorted by position, 15° ≤ 2θ ≤ 90°:
| 2θ/deg | I/Imax |
| --- | --- |
| 32.96 | 25 |
| 33.11 | 93 |
| 34.09 | 100 |
| 40.58 | 41 |
| 42.86 | 24 |
| 45.06 | 20 |

Atomic structure:
```
data_SmEr2Cu4Sn4
_cell_length_a 8.458
_cell_length_b 8.458
_cell_length_c 8.458
_cell_angle_alpha 149.52
_cell_angle_beta 131.04
_cell_angle_gamma 58.78
_space_group_name_H-M_alt 'P 1'
_space_group_IT_number 1
_space_group_name_Hall 'P 1'
loop_
_atom_site_label
_atom_site_fract_x
_atom_site_fract_y
_atom_site_fract_z
Sm1 0.000 0.000 0.000
Er1 0.369 0.869 0.500
Er2 0.631 0.131 0.500
Cu1 0.017 0.330 0.687
Cu2 0.357 0.670 0.687
Cu3 0.643 0.330 0.313
Cu4 0.983 0.670 0.313
Sn1 0.218 0.218 0.000
Sn2 0.301 0.500 0.801
Sn3 0.699 0.500 0.199
Sn4 0.782 0.782 0.000
```

---

Entry 5:
This entry pairs a crystal structure of Li6TcO6 with its calculated XRD peak list. Radiation: Cu Kα (weighted mean of Kα1 and Kα2). Structure: the PBE geometry in OQMD.

Largest 6 diffraction maxima, sorted by position, 15° ≤ 2θ ≤ 90°:
| 2θ/deg | I/Imax |
| --- | --- |
| 18.85 | 78 |
| 19.27 | 75 |
| 19.48 | 74 |
| 20.06 | 44 |
| 22.19 | 100 |
| 22.99 | 49 |

Atomic structure:
```
data_Li6TcO6
_cell_length_a 5.470
_cell_length_b 5.516
_cell_length_c 5.565
_cell_angle_alpha 61.66
_cell_angle_beta 63.80
_cell_angle_gamma 61.18
_space_group_name_H-M_alt 'P 1'
_space_group_IT_number 1
_space_group_name_Hall 'P 1'
loop_
_atom_site_label
_atom_site_fract_x
_atom_site_fract_y
_atom_site_fract_z
Li1 0.007 0.418 0.294
Li2 0.223 0.011 0.081
Li3 0.417 0.775 0.497
Li4 0.583 0.225 0.503
Li5 0.777 0.989 0.919
Li6 0.993 0.582 0.706
Tc1 0.500 0.500 0.000
O1 0.148 0.697 0.888
O2 0.282 0.602 0.348
O3 0.417 0.138 0.204
O4 0.583 0.862 0.796
O5 0.718 0.398 0.652
O6 0.852 0.303 0.112
```

---

Entry 6:
This entry pairs a crystal structure of K2W3Au2 with its calculated XRD peak list. Radiation: Cu Kα (weighted mean of Kα1 and Kα2). Structure: the PBE geometry in OQMD.

Largest 6 diffraction maxima, sorted by position, 15° ≤ 2θ ≤ 90°:
| 2θ/deg | I/Imax |
| --- | --- |
| 24.01 | 40 |
| 29.15 | 89 |
| 35.99 | 39 |
| 39.97 | 69 |
| 41.31 | 100 |
| 44.02 | 47 |

Atomic structure:
```
data_K2W3Au2
_cell_length_a 12.429
_cell_length_b 12.429
_cell_length_c 12.429
_cell_angle_alpha 20.26
_cell_angle_beta 20.26
_cell_angle_gamma 20.26
_space_group_name_H-M_alt 'P 1'
_space_group_IT_number 1
_space_group_name_Hall 'P 1'
loop_
_atom_site_label
_atom_site_fract_x
_atom_site_fract_y
_atom_site_fract_z
K1 0.000 0.000 0.000
K2 0.451 0.451 0.451
W1 0.193 0.193 0.193
W2 0.565 0.565 0.565
W3 0.877 0.877 0.877
Au1 0.268 0.268 0.268
Au2 0.725 0.725 0.725
```

---

Entry 7:
This entry pairs a crystal structure of Mg2ZnIr3 with its calculated XRD peak list. Radiation: Cu Kα (weighted mean of Kα1 and Kα2). Structure: the PBE geometry in OQMD.

Largest 6 diffraction maxima, sorted by position, 15° ≤ 2θ ≤ 90°:
| 2θ/deg | I/Imax |
| --- | --- |
| 22.23 | 83 |
| 39.00 | 16 |
| 40.78 | 100 |
| 45.46 | 24 |
| 52.50 | 28 |
| 71.82 | 20 |

Atomic structure:
```
data_Mg2ZnIr3
_cell_length_a 5.315
_cell_length_b 5.315
_cell_length_c 8.009
_cell_angle_alpha 90.00
_cell_angle_beta 90.00
_cell_angle_gamma 120.00
_space_group_name_H-M_alt 'P 1'
_space_group_IT_number 1
_space_group_name_Hall 'P 1'
loop_
_atom_site_label
_atom_site_fract_x
_atom_site_fract_y
_atom_site_fract_z
Mg1 0.333 0.667 0.068
Mg2 0.333 0.667 0.432
Mg3 0.667 0.333 0.568
Mg4 0.667 0.333 0.932
Zn1 0.000 0.000 0.000
Zn2 0.000 0.000 0.500
Ir1 0.172 0.345 0.750
Ir2 0.172 0.828 0.750
Ir3 0.345 0.172 0.250
Ir4 0.655 0.828 0.750
Ir5 0.828 0.172 0.250
Ir6 0.828 0.655 0.250
```

---

Entry 8:
This entry pairs a crystal structure of Lu2I with its calculated XRD peak list. Radiation: Cu Kα (weighted mean of Kα1 and Kα2). Structure: the PBE geometry in OQMD.

Largest 6 diffraction maxima, sorted by position, 15° ≤ 2θ ≤ 90°:
| 2θ/deg | I/Imax |
| --- | --- |
| 31.96 | 100 |
| 33.42 | 52 |
| 51.10 | 36 |
| 56.01 | 33 |
| 66.81 | 21 |
| 79.22 | 22 |

Atomic structure:
```
data_Lu2I
_cell_length_a 6.568
_cell_length_b 6.568
_cell_length_c 6.568
_cell_angle_alpha 60.00
_cell_angle_beta 60.00
_cell_angle_gamma 60.00
_space_group_name_H-M_alt 'P 1'
_space_group_IT_number 1
_space_group_name_Hall 'P 1'
loop_
_atom_site_label
_atom_site_fract_x
_atom_site_fract_y
_atom_site_fract_z
Lu1 0.000 0.000 0.000
Lu2 0.000 0.000 0.500
Lu3 0.000 0.500 0.000
Lu4 0.500 0.000 0.000
I1 0.375 0.375 0.375
I2 0.625 0.625 0.625
```

---

Entry 9:
This entry pairs a crystal structure of Sc4InCuN2 with its calculated XRD peak list. Radiation: Cu Kα (weighted mean of Kα1 and Kα2). Structure: the PBE geometry in OQMD.

Largest 6 diffraction maxima, sorted by position, 15° ≤ 2θ ≤ 90°:
| 2θ/deg | I/Imax |
| --- | --- |
| 31.95 | 21 |
| 34.43 | 15 |
| 37.32 | 100 |
| 38.10 | 15 |
| 50.55 | 15 |
| 56.93 | 21 |

Atomic structure:
```
data_Sc4InCuN2
_cell_length_a 3.235
_cell_length_b 3.235
_cell_length_c 14.171
_cell_angle_alpha 90.00
_cell_angle_beta 90.00
_cell_angle_gamma 120.00
_space_group_name_H-M_alt 'P 1'
_space_group_IT_number 1
_space_group_name_Hall 'P 1'
loop_
_atom_site_label
_atom_site_fract_x
_atom_site_fract_y
_atom_site_fract_z
Sc1 0.000 0.000 0.146
Sc2 0.000 0.000 0.854
Sc3 0.333 0.667 0.320
Sc4 0.333 0.667 0.680
In1 0.000 0.000 0.500
Cu1 0.333 0.667 0.000
N1 0.667 0.333 0.239
N2 0.667 0.333 0.761
```

---

Entry 10:
This entry pairs a crystal structure of NaDyNO with its calculated XRD peak list. Radiation: Cu Kα (weighted mean of Kα1 and Kα2). Structure: the PBE geometry in OQMD.

Largest 6 diffraction maxima, sorted by position, 15° ≤ 2θ ≤ 90°:
| 2θ/deg | I/Imax |
| --- | --- |
| 21.52 | 62 |
| 23.25 | 83 |
| 25.32 | 38 |
| 26.54 | 36 |
| 31.89 | 100 |
| 46.12 | 35 |

Atomic structure:
```
data_NaDyNO
_cell_length_a 4.653
_cell_length_b 4.128
_cell_length_c 6.717
_cell_angle_alpha 90.00
_cell_angle_beta 90.00
_cell_angle_gamma 90.00
_space_group_name_H-M_alt 'P 1'
_space_group_IT_number 1
_space_group_name_Hall 'P 1'
loop_
_atom_site_label
_atom_site_fract_x
_atom_site_fract_y
_atom_site_fract_z
Na1 0.250 0.000 0.177
Na2 0.750 0.000 0.823
Dy1 0.250 0.500 0.685
Dy2 0.750 0.500 0.315
N1 0.250 0.000 0.827
N2 0.750 0.000 0.173
O1 0.250 0.500 0.359
O2 0.750 0.500 0.641
```

---

Entry 11:
This entry pairs a crystal structure of Mg5CdAu4 with its calculated XRD peak list. Radiation: Cu Kα (weighted mean of Kα1 and Kα2). Structure: the PBE geometry in OQMD.

Largest 6 diffraction maxima, sorted by position, 15° ≤ 2θ ≤ 90°:
| 2θ/deg | I/Imax |
| --- | --- |
| 26.40 | 37 |
| 26.85 | 72 |
| 38.01 | 100 |
| 38.33 | 51 |
| 47.15 | 32 |
| 69.10 | 35 |

Atomic structure:
```
data_Mg5CdAu4
_cell_length_a 3.321
_cell_length_b 3.321
_cell_length_c 16.881
_cell_angle_alpha 90.00
_cell_angle_beta 90.00
_cell_angle_gamma 90.00
_space_group_name_H-M_alt 'P 1'
_space_group_IT_number 1
_space_group_name_Hall 'P 1'
loop_
_atom_site_label
_atom_site_fract_x
_atom_site_fract_y
_atom_site_fract_z
Mg1 0.000 0.000 0.000
Mg2 0.000 0.000 0.193
Mg3 0.000 0.000 0.384
Mg4 0.000 0.000 0.616
Mg5 0.000 0.000 0.807
Cd1 0.500 0.500 0.500
Au1 0.500 0.500 0.097
Au2 0.500 0.500 0.292
Au3 0.500 0.500 0.708
Au4 0.500 0.500 0.903
```

---

Entry 12:
This entry pairs a crystal structure of GdY2Fe3Ni6 with its calculated XRD peak list. Radiation: Cu Kα (weighted mean of Kα1 and Kα2). Structure: the PBE geometry in OQMD.

Largest 6 diffraction maxima, sorted by position, 15° ≤ 2θ ≤ 90°:
| 2θ/deg | I/Imax |
| --- | --- |
| 33.12 | 36 |
| 35.68 | 39 |
| 36.20 | 34 |
| 41.61 | 42 |
| 42.36 | 100 |
| 68.69 | 22 |

Atomic structure:
```
data_GdY2Fe3Ni6
_cell_length_a 8.558
_cell_length_b 8.558
_cell_length_c 8.558
_cell_angle_alpha 34.20
_cell_angle_beta 34.20
_cell_angle_gamma 34.20
_space_group_name_H-M_alt 'P 1'
_space_group_IT_number 1
_space_group_name_Hall 'P 1'
loop_
_atom_site_label
_atom_site_fract_x
_atom_site_fract_y
_atom_site_fract_z
Gd1 0.000 0.000 0.000
Y1 0.139 0.139 0.139
Y2 0.861 0.861 0.861
Fe1 0.333 0.333 0.333
Fe2 0.500 0.500 0.500
Fe3 0.667 0.667 0.667
Ni1 0.082 0.582 0.582
Ni2 0.418 0.418 0.918
Ni3 0.418 0.918 0.418
Ni4 0.582 0.082 0.582
Ni5 0.582 0.582 0.082
Ni6 0.918 0.418 0.418
```

---

Entry 13:
This entry pairs a crystal structure of LuThTc with its calculated XRD peak list. Radiation: Cu Kα (weighted mean of Kα1 and Kα2). Structure: the PBE geometry in OQMD.

Largest 6 diffraction maxima, sorted by position, 15° ≤ 2θ ≤ 90°:
| 2θ/deg | I/Imax |
| --- | --- |
| 22.85 | 43 |
| 26.45 | 12 |
| 37.75 | 100 |
| 44.59 | 23 |
| 54.46 | 18 |
| 68.16 | 36 |

Atomic structure:
```
data_LuThTc
_cell_length_a 4.766
_cell_length_b 4.766
_cell_length_c 4.766
_cell_angle_alpha 60.00
_cell_angle_beta 60.00
_cell_angle_gamma 60.00
_space_group_name_H-M_alt 'P 1'
_space_group_IT_number 1
_space_group_name_Hall 'P 1'
loop_
_atom_site_label
_atom_site_fract_x
_atom_site_fract_y
_atom_site_fract_z
Lu1 0.000 0.000 0.000
Th1 0.250 0.250 0.250
Tc1 0.750 0.750 0.750
```